The following is a theoretical X-ray diffraction stick pattern of ZnBi2. It was derived from a structure optimized by DFT (PBE), using Cu Kα X-rays.

Principal peaks in the range 5 to 70 degrees two-theta, low angle first:
h k l, d/Å, I_rel
0 0 2, 3.021, 17
2 1 1, 2.860, 100
1 1 2, 2.604, 14
2 0 2, 2.322, 19
3 1 0, 2.296, 23
3 1 2, 1.828, 6
3 3 0, 1.711, 30
4 1 1, 1.690, 17
4 0 2, 1.556, 9
3 3 2, 1.489, 17

Structural model:
a b c (Å): 7.260 7.260 6.042
angles (deg): 90.00 90.00 90.00
Space group I4/mcm (No. 140)
Asymmetric unit:
Zn 0.000 0.000 0.250 (multiplicity 4)
Bi 0.162 0.338 0.000 (multiplicity 8)



The following is a theoretical X-ray diffraction stick pattern of Zn4Bi3. It was derived from a structure optimized by DFT (PBE), using Cu Kα X-rays.

Principal peaks in the range 5 to 70 degrees two-theta, low angle first:
h k l, d/Å, I_rel
2 0 0, 3.855, 17
1 1 1, 3.259, 56
2 0 1, 3.002, 43
2 1 0, 2.914, 33
2 1 1, 2.489, 100
0 0 2, 2.392, 35
1 3 0, 2.138, 36
3 1 1, 1.952, 21
2 1 2, 1.849, 18
1 3 2, 1.594, 29

Structural model:
a b c (Å): 8.9027 8.9027 4.7848
angles (deg): 90.00 90.00 120.00
Space group P6_3/m (No. 176)
Asymmetric unit:
Zn 0.1347 0.5278 0.2500 (multiplicity 6)
Zn 0.3333 0.6667 0.7500 (multiplicity 2)
Bi 0.0731 0.3018 0.7500 (multiplicity 6)



The following is a theoretical X-ray diffraction stick pattern of ZrZn2Bi. It was derived from a structure optimized by DFT (PBE), using Cu Kα X-rays.

Principal peaks in the range 5 to 70 degrees two-theta, low angle first:
h k l, d/Å, I_rel
1 1 1, 4.051, 22
2 0 0, 3.508, 8
2 2 0, 2.481, 100
3 1 1, 2.115, 12
2 2 2, 2.025, 3
4 0 0, 1.754, 17
3 3 1, 1.610, 6
4 2 0, 1.569, 4
4 2 2, 1.432, 35
5 1 1, 1.350, 4

Structural model:
a b c (Å): 7.016 7.016 7.016
angles (deg): 90.00 90.00 90.00
Space group F-43m (No. 216)
Asymmetric unit:
Zr 0.000 0.000 0.000 (multiplicity 4)
Zn 0.000 0.000 0.500 (multiplicity 4)
Zn 0.250 0.250 0.250 (multiplicity 4)
Bi 0.250 0.250 0.750 (multiplicity 4)



Repeat the first record exactly.
The following is a theoretical X-ray diffraction stick pattern of ZnBi2. It was derived from a structure optimized by DFT (PBE), using Cu Kα X-rays.

Principal peaks in the range 5 to 70 degrees two-theta, low angle first:
h k l, d/Å, I_rel
0 0 2, 3.021, 17
2 1 1, 2.860, 100
1 1 2, 2.604, 14
2 0 2, 2.322, 19
3 1 0, 2.296, 23
3 1 2, 1.828, 6
3 3 0, 1.711, 30
4 1 1, 1.690, 17
4 0 2, 1.556, 9
3 3 2, 1.489, 17

Structural model:
a b c (Å): 7.260 7.260 6.042
angles (deg): 90.00 90.00 90.00
Space group I4/mcm (No. 140)
Asymmetric unit:
Zn 0.000 0.000 0.250 (multiplicity 4)
Bi 0.162 0.338 0.000 (multiplicity 8)